# Tb3Pr5Ho4
Simulated X-ray powder pattern, Cu Kα (weighted mean of Kα1 and Kα2). Input: a DFT-relaxed cell (GGA-PBE, Alexandria).
Peak positions follow from Bragg's law for the DFT cell and can differ from measured ones.

Atomic structure:
a b c (Å): 9.8160 5.8640 15.0737
angles (deg): 90.00 108.78 90.00
Space group C2/m (No. 12)
Asymmetric unit:
Tb 0.0000 0.0000 0.0000 [2 per cell]
Tb 0.2059 0.5000 0.2488 [4 per cell]
Pr 0.0000 0.5000 0.0000 [2 per cell]
Pr 0.0465 0.0000 0.2466 [4 per cell]
Pr 0.1686 0.0000 0.4994 [4 per cell]
Ho 0.0610 0.5000 0.6241 [4 per cell]
Ho 0.1759 0.5000 0.8554 [4 per cell]

Most intense lines, 10 to 90 degrees two-theta, in order of falling intensity:
Position (°2θ)	I/Imax	index
31.47	1000	3 1 -1
30.49	693	0 2 0
44.03	581	2 2 -5
33.39	521	1 1 4
28.16	410	1 1 3
31.05	388	2 0 -5
30.93	371	2 0 3
54.80	213	3 3 -1
60.78	165	0 2 8
51.21	144	0 0 8
72.29	133	2 4 -5
56.06	119	1 3 4